Diffraction record for AcHfAsO2. The powder X-ray diffraction pattern is calculated, not measured: it uses a PBE-relaxed structure and copper Kα.
Lines closer than 0.1° are merged.

Structure:
Cell lengths 6.517, 6.517, 7.452 Å; angles 90.00, 90.00, 144.75 degrees
Element x y z (fractional)
Ac 0.227 0.773 0.750
Ac 0.773 0.227 0.250
Hf 0.500 0.500 0.000
Hf 0.500 0.500 0.500
As 0.042 0.958 0.250
As 0.958 0.042 0.750
O 0.339 0.661 0.051
O 0.339 0.661 0.449
O 0.661 0.339 0.551
O 0.661 0.339 0.949

Top 6 peaks for 15° ≤ 2θ ≤ 90°, low angle first:
26.5 deg, d = 3.358 Å, intensity 75; 27.9 deg, d = 3.195 Å, intensity 88; 28.7 deg, d = 3.106 Å, intensity 62; 33.6 deg, d = 2.668 Å, intensity 77; 33.9 deg, d = 2.647 Å, intensity 100; 49.8 deg, d = 1.831 Å, intensity 47

Diffraction record for VSi4Mo. The powder X-ray diffraction pattern is calculated, not measured: it uses a PBE-relaxed structure and copper Kα.
Lines closer than 0.1° are merged.

Structure:
Cell lengths 4.608, 12.885, 4.613 Å; angles 90.00, 119.92, 90.00 degrees
Element x y z (fractional)
V 0.000 0.000 0.000
V 0.000 0.497 0.000
V 0.500 0.332 0.500
Si 0.172 0.834 0.839
Si 0.178 0.334 0.843
Si 0.334 0.166 0.163
Si 0.335 0.662 0.162
Si 0.340 0.495 0.676
Si 0.342 0.000 0.679
Si 0.658 0.000 0.321
Si 0.660 0.495 0.324
Si 0.665 0.662 0.838
Si 0.666 0.166 0.837
Si 0.822 0.334 0.157
Si 0.828 0.834 0.161
Mo 0.000 0.167 0.500
Mo 0.000 0.664 0.500
Mo 0.500 0.832 0.500

Top 6 peaks for 15° ≤ 2θ ≤ 90°, low angle first:
26.3 deg, d = 3.394 Å, intensity 48; 35.8 deg, d = 2.507 Å, intensity 21; 41.6 deg, d = 2.171 Å, intensity 100; 42.1 deg, d = 2.147 Å, intensity 36; 48.6 deg, d = 1.875 Å, intensity 62; 71.4 deg, d = 1.320 Å, intensity 19

Diffraction record for LiTl3Pb2. The powder X-ray diffraction pattern is calculated, not measured: it uses a PBE-relaxed structure and copper Kα.
Lines closer than 0.1° are merged.

Structure:
Cell lengths 3.357, 5.382, 9.662 Å; angles 90.00, 90.00, 90.00 degrees
Element x y z (fractional)
Li 0.000 0.000 0.000
Tl 0.000 0.000 0.320
Tl 0.000 0.500 0.510
Tl 0.000 0.500 0.853
Pb 0.500 0.000 0.694
Pb 0.500 0.500 0.160

Top 6 peaks for 15° ≤ 2θ ≤ 90°, low angle first:
32.4 deg, d = 2.761 Å, intensity 100; 32.8 deg, d = 2.732 Å, intensity 75; 33.3 deg, d = 2.691 Å, intensity 34; 47.2 deg, d = 1.926 Å, intensity 24; 58.9 deg, d = 1.568 Å, intensity 16; 65.0 deg, d = 1.435 Å, intensity 19

Diffraction record for InSb2Cl. The powder X-ray diffraction pattern is calculated, not measured: it uses a PBE-relaxed structure and copper Kα.
Lines closer than 0.1° are merged.

Structure:
Cell lengths 4.273, 4.273, 25.807 Å; angles 90.00, 90.00, 120.00 degrees
Element x y z (fractional)
In 0.000 0.000 0.000
In 0.333 0.667 0.667
In 0.667 0.333 0.333
Sb 0.000 0.000 0.239
Sb 0.000 0.000 0.511
Sb 0.333 0.667 0.178
Sb 0.333 0.667 0.906
Sb 0.667 0.333 0.573
Sb 0.667 0.333 0.845
Cl 0.000 0.000 0.724
Cl 0.333 0.667 0.391
Cl 0.667 0.333 0.058

Top 6 peaks for 15° ≤ 2θ ≤ 90°, low angle first:
20.7 deg, d = 4.301 Å, intensity 12; 27.8 deg, d = 3.210 Å, intensity 100; 37.0 deg, d = 2.432 Å, intensity 36; 42.3 deg, d = 2.136 Å, intensity 34; 51.4 deg, d = 1.779 Å, intensity 17; 68.7 deg, d = 1.367 Å, intensity 14

Diffraction record for CdInPb2S5. The powder X-ray diffraction pattern is calculated, not measured: it uses a PBE-relaxed structure and copper Kα.
Lines closer than 0.1° are merged.

Structure:
Cell lengths 9.530, 9.530, 12.269 Å; angles 90.00, 90.00, 155.96 degrees
Element x y z (fractional)
Cd 0.222 0.778 0.500
Cd 0.778 0.222 0.000
In 0.443 0.557 0.951
In 0.557 0.443 0.451
Pb 0.114 0.886 0.769
Pb 0.139 0.861 0.169
Pb 0.861 0.139 0.669
Pb 0.886 0.114 0.269
S 0.035 0.965 0.566
S 0.293 0.707 0.152
S 0.319 0.681 0.869
S 0.360 0.640 0.511
S 0.494 0.506 0.275
S 0.506 0.494 0.775
S 0.640 0.360 0.011
S 0.681 0.319 0.369
S 0.707 0.293 0.652
S 0.965 0.035 0.066

Top 6 peaks for 15° ≤ 2θ ≤ 90°, low angle first:
23.8 deg, d = 3.745 Å, intensity 100; 24.0 deg, d = 3.711 Å, intensity 84; 27.2 deg, d = 3.280 Å, intensity 93; 29.7 deg, d = 3.012 Å, intensity 61; 31.8 deg, d = 2.815 Å, intensity 95; 36.2 deg, d = 2.484 Å, intensity 71

Diffraction record for Li6Zn2Ga. The powder X-ray diffraction pattern is calculated, not measured: it uses a PBE-relaxed structure and copper Kα.
Lines closer than 0.1° are merged.

Structure:
Cell lengths 8.461, 8.462, 4.051 Å; angles 90.00, 90.00, 90.00 degrees
Element x y z (fractional)
Li 0.018 0.177 0.000
Li 0.177 0.980 0.500
Li 0.182 0.317 0.500
Li 0.318 0.817 0.000
Li 0.323 0.480 0.000
Li 0.482 0.677 0.500
Li 0.518 0.323 0.500
Li 0.677 0.520 0.000
Li 0.682 0.183 0.000
Li 0.818 0.683 0.500
Li 0.823 0.020 0.500
Li 0.982 0.823 0.000
Zn 0.145 0.644 0.500
Zn 0.355 0.144 0.000
Zn 0.645 0.856 0.000
Zn 0.855 0.356 0.500
Ga 0.000 0.500 0.000
Ga 0.500 0.000 0.500

Top 6 peaks for 15° ≤ 2θ ≤ 90°, low angle first:
23.5 deg, d = 3.784 Å, intensity 70; 26.6 deg, d = 3.355 Å, intensity 35; 32.4 deg, d = 2.765 Å, intensity 46; 37.4 deg, d = 2.407 Å, intensity 32; 38.9 deg, d = 2.315 Å, intensity 100; 49.8 deg, d = 1.831 Å, intensity 37